# 1
Diffraction record for AcDy2NpO8. The powder diffractogram is theoretical, not measured: it uses a crystal structure in Alexandria, relaxed with GGA-PBE and a wavelength of 1.5418 Å.
Kinematic intensities with the Lorentz-polarization factor, no thermal factor.

Structural model:
abc: 4.0270 7.5984 5.4764
angles: 90.00 94.68 90.00
Positions (direct):
Ac 0.0000 0.0000 0.0000
Dy 0.5000 0.2462 0.5000
Dy 0.5000 0.7538 0.5000
Np 0.0000 0.5000 0.0000
O 0.0335 0.2898 0.7573
O 0.0335 0.7102 0.7573
O 0.4456 0.5000 0.2224
O 0.4852 0.0000 0.7311
O 0.5148 0.0000 0.2689
O 0.5544 0.5000 0.7776
O 0.9665 0.2898 0.2427
O 0.9665 0.7102 0.2427

Main lines, in order of rising 2θ (2θ from 10° to 90°):
| 2θ/deg | d_spacing | intensity |
| --- | --- | --- |
| 26.5 | 3.367 | 40 |
| 28.6 | 3.117 | 100 |
| 32.4 | 2.759 | 34 |
| 32.8 | 2.729 | 16 |
| 45.2 | 2.007 | 13 |
| 45.4 | 1.997 | 25 |
| 48.2 | 1.888 | 21 |
| 55.6 | 1.654 | 21 |


# 2
Diffraction record for Ca2Al3O6F. The powder diffractogram is theoretical, not measured: it uses a crystal structure in Alexandria, relaxed with GGA-PBE and a wavelength of 1.5418 Å.
Kinematic intensities with the Lorentz-polarization factor, no thermal factor.

Structural model:
abc: 7.0706 10.3291 10.3626
angles: 114.82 102.92 103.46
Positions (direct):
Ca 0.1432 0.3598 0.3311
Ca 0.2091 0.3731 0.9694
Ca 0.2254 0.0089 0.0066
Ca 0.2401 0.0372 0.4048
Ca 0.7599 0.9628 0.5952
Ca 0.7746 0.9911 0.9934
Ca 0.7909 0.6269 0.0306
Ca 0.8568 0.6402 0.6689
Al 0.0082 0.7593 0.4531
Al 0.2451 0.6915 0.2383
Al 0.3431 0.7307 0.6805
Al 0.3494 0.6836 0.9544
Al 0.3892 0.0479 0.7253
Al 0.4538 0.4605 0.6928
Al 0.5462 0.5395 0.3072
Al 0.6108 0.9521 0.2747
Al 0.6506 0.3164 0.0456
Al 0.6569 0.2693 0.3195
Al 0.7549 0.3085 0.7617
Al 0.9918 0.2407 0.5469
O 0.0337 0.7408 0.2806
O 0.1150 0.6526 0.5207
O 0.1378 0.9577 0.5850
O 0.1843 0.6330 0.0430
O 0.2455 0.7508 0.8328
O 0.2483 0.2908 0.5437
O 0.2890 0.5394 0.2592
O 0.4016 0.1691 0.9118
O 0.4096 0.5182 0.8663
O 0.4628 0.8642 0.3531
O 0.4871 0.0797 0.2555
O 0.4871 0.6108 0.6505
O 0.5129 0.3892 0.3495
O 0.5129 0.9203 0.7445
O 0.5372 0.1358 0.6469
O 0.5904 0.4818 0.1337
O 0.5984 0.8309 0.0882
O 0.7110 0.4606 0.7408
O 0.7517 0.7092 0.4563
O 0.7545 0.2492 0.1672
O 0.8157 0.3670 0.9570
O 0.8622 0.0423 0.4150
O 0.8850 0.3474 0.4793
O 0.9663 0.2592 0.7194
F 0.0722 0.0834 0.2125
F 0.0785 0.1970 0.0408
F 0.9215 0.8030 0.9592
F 0.9278 0.9166 0.7875

Main lines, in order of rising 2θ (2θ from 10° to 90°):
| 2θ/deg | d_spacing | intensity |
| --- | --- | --- |
| 27.9 | 3.202 | 37 |
| 28.6 | 3.121 | 61 |
| 28.7 | 3.109 | 100 |
| 30.6 | 2.920 | 41 |
| 30.8 | 2.905 | 61 |
| 33.1 | 2.705 | 92 |
| 33.2 | 2.697 | 35 |
| 45.2 | 2.008 | 40 |


# 3
Diffraction record for Tb6Ho3Cd. The powder diffractogram is theoretical, not measured: it uses a crystal structure in Alexandria, relaxed with GGA-PBE and a wavelength of 1.5418 Å.
Kinematic intensities with the Lorentz-polarization factor, no thermal factor.

Structural model:
abc: 10.9687 4.9984 11.1634
angles: 90.00 91.35 90.00
Positions (direct):
Tb 0.0470 0.2500 0.3966
Tb 0.1400 0.7500 0.1858
Tb 0.1523 0.2500 0.6918
Tb 0.2377 0.2500 0.9946
Tb 0.3465 0.7500 0.7984
Tb 0.4488 0.2500 0.6022
Tb 0.5512 0.7500 0.3978
Tb 0.6535 0.2500 0.2016
Tb 0.7623 0.7500 0.0054
Tb 0.8477 0.7500 0.3082
Tb 0.8600 0.2500 0.8142
Tb 0.9530 0.7500 0.6034
Ho 0.2478 0.7500 0.4926
Ho 0.3473 0.2500 0.2930
Ho 0.4486 0.7500 0.0991
Ho 0.5514 0.2500 0.9009
Ho 0.6527 0.7500 0.7070
Ho 0.7522 0.2500 0.5074
Cd 0.0515 0.7500 0.8945
Cd 0.9485 0.2500 0.1055

Main lines, in order of rising 2θ (2θ from 10° to 90°):
| 2θ/deg | d_spacing | intensity |
| --- | --- | --- |
| 31.2 | 2.866 | 100 |
| 35.8 | 2.511 | 17 |
| 35.9 | 2.499 | 17 |
| 36.9 | 2.438 | 16 |
| 51.6 | 1.771 | 12 |
| 61.4 | 1.509 | 14 |
| 61.7 | 1.504 | 14 |
| 62.9 | 1.477 | 12 |


# 4
Diffraction record for LiGdMg2. The powder diffractogram is theoretical, not measured: it uses a crystal structure in Alexandria, relaxed with GGA-PBE and a wavelength of 1.5418 Å.
Kinematic intensities with the Lorentz-polarization factor, no thermal factor.

Structural model:
abc: 3.5354 3.5354 7.8064
angles: 90.00 90.00 90.00
Positions (direct):
Li 0.0000 0.0000 0.0000
Gd 0.0000 0.0000 0.5000
Mg 0.5000 0.5000 0.2126
Mg 0.5000 0.5000 0.7874

Main lines, in order of rising 2θ (2θ from 10° to 90°):
| 2θ/deg | d_spacing | intensity |
| --- | --- | --- |
| 11.3 | 7.806 | 100 |
| 25.2 | 3.535 | 20 |
| 27.7 | 3.221 | 73 |
| 34.2 | 2.620 | 68 |
| 35.9 | 2.500 | 31 |
| 37.8 | 2.381 | 23 |
| 50.6 | 1.803 | 18 |
| 63.5 | 1.465 | 22 |


# 5
Diffraction record for InGeH. The powder diffractogram is theoretical, not measured: it uses a crystal structure in Alexandria, relaxed with GGA-PBE and a wavelength of 1.5418 Å.
Kinematic intensities with the Lorentz-polarization factor, no thermal factor.

Structural model:
abc: 3.2352 6.1634 6.7765
angles: 90.91 103.62 104.47
Positions (direct):
In 0.0000 0.0000 0.0000
In 0.2485 0.0682 0.4379
Ge 0.0173 0.3255 0.7234
Ge 0.2284 0.7425 0.7142
H 0.6564 0.5041 0.1519
H 0.7751 0.5424 0.2619

Main lines, in order of rising 2θ (2θ from 10° to 90°):
| 2θ/deg | d_spacing | intensity |
| --- | --- | --- |
| 13.5 | 6.565 | 38 |
| 14.9 | 5.949 | 100 |
| 29.4 | 3.036 | 49 |
| 29.7 | 3.010 | 46 |
| 30.0 | 2.976 | 32 |
| 32.0 | 2.794 | 34 |
| 32.2 | 2.782 | 35 |
| 44.6 | 2.030 | 42 |


# 6
Diffraction record for AcLa5Y3. The powder diffractogram is theoretical, not measured: it uses a crystal structure in Alexandria, relaxed with GGA-PBE and a wavelength of 1.5418 Å.
Kinematic intensities with the Lorentz-polarization factor, no thermal factor.

Structural model:
abc: 10.9030 10.9030 10.9030
angles: 139.72 68.05 127.65
Positions (direct):
Ac 0.3455 0.0955 0.2500
Ac 0.6545 0.9045 0.7500
La 0.1608 0.3397 0.3429
La 0.1608 0.8179 0.8211
La 0.2909 0.5409 0.7500
La 0.4968 0.3397 0.6789
La 0.4968 0.8179 0.1571
La 0.5032 0.1821 0.8429
La 0.5032 0.6603 0.3211
La 0.7091 0.4591 0.2500
La 0.8392 0.1821 0.1789
La 0.8392 0.6603 0.6571
Y 0.0000 0.0000 0.5000
Y 0.0000 0.5000 0.0000
Y 0.1637 0.2410 0.9227
Y 0.1817 0.7590 0.4227
Y 0.8183 0.2410 0.5773
Y 0.8363 0.7590 0.0773

Main lines, in order of rising 2θ (2θ from 10° to 90°):
| 2θ/deg | d_spacing | intensity |
| --- | --- | --- |
| 25.7 | 3.467 | 29 |
| 28.3 | 3.157 | 67 |
| 29.5 | 3.025 | 100 |
| 29.7 | 3.012 | 72 |
| 31.8 | 2.812 | 51 |
| 36.3 | 2.475 | 32 |
| 37.5 | 2.399 | 37 |
| 39.9 | 2.260 | 32 |


# 7
Diffraction record for Pm3ErTm4. The powder diffractogram is theoretical, not measured: it uses a crystal structure in Alexandria, relaxed with GGA-PBE and a wavelength of 1.5418 Å.
Kinematic intensities with the Lorentz-polarization factor, no thermal factor.

Structural model:
abc: 11.2990 7.2613 6.2566
angles: 90.00 90.00 90.00
Positions (direct):
Pm 0.0000 0.1276 0.0000
Pm 0.2501 0.1270 0.3350
Pm 0.2499 0.8730 0.8350
Pm 0.5000 0.8724 0.5000
Pm 0.7499 0.1270 0.3350
Pm 0.7501 0.8730 0.8350
Er 0.0000 0.8698 0.4988
Er 0.5000 0.1302 0.9988
Tm 0.0000 0.3780 0.5009
Tm 0.0000 0.6209 0.0010
Tm 0.2482 0.6213 0.3340
Tm 0.2518 0.3787 0.8340
Tm 0.5000 0.3791 0.5010
Tm 0.5000 0.6220 0.0009
Tm 0.7482 0.3787 0.8340
Tm 0.7518 0.6213 0.3340

Main lines, in order of rising 2θ (2θ from 10° to 90°):
| 2θ/deg | d_spacing | intensity |
| --- | --- | --- |
| 28.4 | 3.140 | 16 |
| 31.7 | 2.825 | 24 |
| 32.7 | 2.742 | 100 |
| 43.1 | 2.099 | 16 |
| 50.5 | 1.808 | 13 |
| 57.0 | 1.614 | 21 |
| 60.8 | 1.523 | 15 |
| 61.3 | 1.513 | 11 |


# 8
Diffraction record for La4DyTm3. The powder diffractogram is theoretical, not measured: it uses a crystal structure in Alexandria, relaxed with GGA-PBE and a wavelength of 1.5418 Å.
Kinematic intensities with the Lorentz-polarization factor, no thermal factor.

Structural model:
abc: 11.6260 7.3104 6.3590
angles: 90.00 90.00 90.00
Positions (direct):
La 0.0000 0.1279 0.0000
La 0.0000 0.8698 0.5177
La 0.2438 0.1267 0.3381
La 0.2562 0.8733 0.8381
La 0.5000 0.1302 0.0177
La 0.5000 0.8721 0.5000
La 0.7438 0.8733 0.8381
La 0.7562 0.1267 0.3381
Dy 0.0000 0.6224 0.0119
Dy 0.5000 0.3776 0.5119
Tm 0.0000 0.3843 0.5087
Tm 0.2496 0.3817 0.8382
Tm 0.2504 0.6183 0.3382
Tm 0.5000 0.6157 0.0087
Tm 0.7504 0.3817 0.8382
Tm 0.7496 0.6183 0.3382

Main lines, in order of rising 2θ (2θ from 10° to 90°):
| 2θ/deg | d_spacing | intensity |
| --- | --- | --- |
| 28.1 | 3.172 | 24 |
| 30.8 | 2.907 | 25 |
| 32.1 | 2.785 | 100 |
| 42.2 | 2.143 | 16 |
| 49.7 | 1.834 | 13 |
| 55.6 | 1.654 | 21 |
| 59.6 | 1.551 | 15 |
| 60.6 | 1.529 | 11 |